(1)
Simulated powder diffractogram of ZnIn2Sn for a wavelength of 1.5418 Å, from a structure optimized by DFT (GGA-PBE).

The 9 most intense peaks (2θ = 5–70°), sorted by position:
Position (°2θ)  intensity
20.9  2.7
24.2  1.6
34.4  100.0
40.6  1.4
42.5  0.5
49.5  17.7
54.3  0.6
55.8  0.8
61.7  36.0

Cell and atoms:
Cell: 5.2103 5.2103 5.2103 Å, 60.00 60.00 60.00°
Sites, in units of the cell vectors:
Zn (0.0000, 0.0000, 0.0000)
In (0.2500, 0.2500, 0.2500)
In (0.5000, 0.5000, 0.5000)
Sn (0.7500, 0.7500, 0.7500)

=====

(2)
Simulated powder diffractogram of SrIn3Tc for a wavelength of 1.5418 Å, from a structure optimized by DFT (GGA-PBE).

The 10 most intense peaks (2θ = 5–70°), sorted by position:
Position (°2θ)  intensity
17.5  27.1
30.1  100.0
33.6  15.4
35.5  79.5
35.9  24.7
44.2  27.2
49.7  19.8
51.1  27.4
57.9  26.3
60.5  26.2

Cell and atoms:
Cell: 7.1487 7.1487 5.3416 Å, 90.00 90.00 90.00°
Sites, in units of the cell vectors:
Sr (0.2500, 0.7500, 0.0000)
Sr (0.7500, 0.2500, 0.0000)
In (0.0000, 0.0000, 0.5000)
In (0.0000, 0.5000, 0.5000)
In (0.2500, 0.2500, 0.1206)
In (0.5000, 0.0000, 0.5000)
In (0.5000, 0.5000, 0.5000)
In (0.7500, 0.7500, 0.8794)
Tc (0.2500, 0.2500, 0.6392)
Tc (0.7500, 0.7500, 0.3608)

=====

(3)
Simulated powder diffractogram of Ta3InTe5 for a wavelength of 1.5418 Å, from a structure optimized by DFT (GGA-PBE).

The 10 most intense peaks (2θ = 5–70°), sorted by position:
Position (°2θ)  intensity
10.6  93.1
27.4  26.4
30.1  35.7
32.0  29.2
34.9  21.5
36.5  55.3
37.1  22.2
41.2  100.0
43.2  20.2
62.5  22.8

Cell and atoms:
Cell: 5.9448 5.9448 8.3837 Å, 90.00 90.00 120.00°
Sites, in units of the cell vectors:
Ta (0.0000, 0.5000, 0.0000)
Ta (0.5000, 0.0000, 0.0000)
Ta (0.5000, 0.5000, 0.0000)
In (0.0000, 0.0000, 0.5000)
Te (0.0000, 0.0000, 0.0000)
Te (0.3333, 0.6667, 0.2726)
Te (0.3333, 0.6667, 0.7274)
Te (0.6667, 0.3333, 0.2726)
Te (0.6667, 0.3333, 0.7274)

=====

(4)
Simulated powder diffractogram of Tb5In3 for a wavelength of 1.5418 Å, from a structure optimized by DFT (GGA-PBE).

The 10 most intense peaks (2θ = 5–70°), sorted by position:
Position (°2θ)  intensity
29.7  20.7
30.1  61.5
32.6  67.2
33.2  47.2
33.5  100.0
36.4  38.2
53.0  19.8
55.3  23.9
61.6  18.2
62.6  18.7

Cell and atoms:
Cell: 9.2013 9.2013 9.2013 Å, 96.12 96.12 141.90°
Sites, in units of the cell vectors:
Tb (0.0830, 0.7801, 0.8632)
Tb (0.2199, 0.0830, 0.3029)
Tb (0.2500, 0.7500, 0.5000)
Tb (0.2801, 0.5830, 0.8632)
Tb (0.4170, 0.2801, 0.6971)
Tb (0.5830, 0.7199, 0.3029)
Tb (0.7199, 0.4170, 0.1368)
Tb (0.7500, 0.2500, 0.5000)
Tb (0.7801, 0.9170, 0.6971)
Tb (0.9170, 0.2199, 0.1368)
In (0.1618, 0.3382, 0.5000)
In (0.2500, 0.2500, 0.0000)
In (0.3382, 0.8382, 0.1764)
In (0.6618, 0.1618, 0.8236)
In (0.7500, 0.7500, 0.0000)
In (0.8382, 0.6618, 0.5000)

=====

(5)
Simulated powder diffractogram of TbIn for a wavelength of 1.5418 Å, from a structure optimized by DFT (GGA-PBE).

The 10 most intense peaks (2θ = 5–70°), sorted by position:
Position (°2θ)  intensity
17.1  2.5
29.1  26.4
34.0  100.0
34.6  21.0
45.9  15.2
51.7  20.0
60.4  3.3
61.7  17.6
63.3  16.3
63.7  21.1

Cell and atoms:
Cell: 3.5391 3.5391 5.1787 Å, 90.00 90.00 120.00°
Sites, in units of the cell vectors:
Tb (0.0000, 0.0000, 0.0000)
In (0.3333, 0.6667, 0.5000)

=====

(6)
Simulated powder diffractogram of Tb2Tl3In for a wavelength of 1.5418 Å, from a structure optimized by DFT (GGA-PBE).

The 10 most intense peaks (2θ = 5–70°), sorted by position:
Position (°2θ)  intensity
32.7  100.0
36.9  16.7
38.3  16.9
38.7  16.4
54.2  11.1
55.6  11.5
63.8  11.8
65.7  13.6
66.3  13.2
68.6  11.0

Cell and atoms:
Cell: 7.6798 7.6798 4.6552 Å, 90.00 90.00 144.34°
Sites, in units of the cell vectors:
Tb (0.1538, 0.8462, 0.0000)
Tb (0.8462, 0.1538, 0.0000)
Tl (0.0000, 0.0000, 0.5000)
Tl (0.3251, 0.6749, 0.5000)
Tl (0.6749, 0.3251, 0.5000)
In (0.5000, 0.5000, 0.0000)

=====

(7)
Simulated powder diffractogram of Tb5TlIn3 for a wavelength of 1.5418 Å, from a structure optimized by DFT (GGA-PBE).

The 10 most intense peaks (2θ = 5–70°), sorted by position:
Position (°2θ)  intensity
32.2  22.5
33.0  100.0
33.2  86.3
42.5  7.4
47.5  31.4
55.1  8.5
59.2  26.6
59.3  10.1
62.2  7.4
65.9  23.7

Cell and atoms:
Cell: 9.3521 9.3521 6.6662 Å, 90.00 90.00 120.00°
Sites, in units of the cell vectors:
Tb (0.0000, 0.2922, 0.2500)
Tb (0.0000, 0.7078, 0.7500)
Tb (0.2922, 0.0000, 0.2500)
Tb (0.2922, 0.2922, 0.7500)
Tb (0.3333, 0.6667, 0.0000)
Tb (0.3333, 0.6667, 0.5000)
Tb (0.6667, 0.3333, 0.0000)
Tb (0.6667, 0.3333, 0.5000)
Tb (0.7078, 0.0000, 0.7500)
Tb (0.7078, 0.7078, 0.2500)
Tl (0.0000, 0.0000, 0.0000)
Tl (0.0000, 0.0000, 0.5000)
In (0.0000, 0.3712, 0.7500)
In (0.0000, 0.6288, 0.2500)
In (0.3712, 0.0000, 0.7500)
In (0.3712, 0.3712, 0.2500)
In (0.6288, 0.0000, 0.2500)
In (0.6288, 0.6288, 0.7500)

=====

(8)
Simulated powder diffractogram of YInTc2 for a wavelength of 1.5418 Å, from a structure optimized by DFT (GGA-PBE).

The 4 most intense peaks (2θ = 5–70°), sorted by position:
Position (°2θ)  intensity
26.6  0.5
38.0  100.0
54.8  16.8
68.6  33.5

Cell and atoms:
Cell: 4.7378 4.7378 4.7378 Å, 60.00 60.00 60.00°
Sites, in units of the cell vectors:
Y (0.0000, 0.0000, 0.0000)
In (0.7500, 0.7500, 0.7500)
Tc (0.2500, 0.2500, 0.2500)
Tc (0.5000, 0.5000, 0.5000)

=====

(9)
Simulated powder diffractogram of InTe3W for a wavelength of 1.5418 Å, from a structure optimized by DFT (GGA-PBE).

The 10 most intense peaks (2θ = 5–70°), sorted by position:
Position (°2θ)  intensity
12.0  29.4
13.9  18.6
24.2  21.9
27.1  100.0
34.5  17.5
42.6  43.5
44.4  26.0
49.6  17.6
51.2  16.9
68.7  20.3

Cell and atoms:
Cell: 7.3558 7.3558 7.3560 Å, 90.00 90.00 120.00°
Sites, in units of the cell vectors:
In (0.3333, 0.6667, 0.0000)
In (0.6667, 0.3333, 0.0000)
Te (0.0000, 0.3422, 0.2545)
Te (0.0000, 0.6578, 0.7455)
Te (0.3422, 0.0000, 0.2545)
Te (0.3422, 0.3422, 0.7455)
Te (0.6578, 0.0000, 0.7455)
Te (0.6578, 0.6578, 0.2545)
W (0.0000, 0.0000, 0.1614)
W (0.0000, 0.0000, 0.8386)

=====

(10)
Simulated powder diffractogram of TlZn2In2 for a wavelength of 1.5418 Å, from a structure optimized by DFT (GGA-PBE).

The 10 most intense peaks (2θ = 5–70°), sorted by position:
Position (°2θ)  intensity
29.4  13.5
29.7  32.5
31.9  100.0
40.3  38.8
42.3  24.0
50.6  12.0
50.9  14.8
58.3  12.9
59.8  17.0
68.0  22.0

Cell and atoms:
Cell: 6.8590 6.8590 6.8590 Å, 141.90 141.90 54.98°
Sites, in units of the cell vectors:
Tl (0.0000, 0.0000, 0.0000)
Zn (0.3984, 0.3984, 0.0000)
Zn (0.6016, 0.6016, 0.0000)
In (0.2500, 0.7500, 0.5000)
In (0.7500, 0.2500, 0.5000)

=====

(11)
Simulated powder diffractogram of ZnIn for a wavelength of 1.5418 Å, from a structure optimized by DFT (GGA-PBE).

The 10 most intense peaks (2θ = 5–70°), sorted by position:
Position (°2θ)  intensity
31.0  57.3
31.3  18.3
32.5  33.8
33.7  38.7
37.2  100.0
38.3  29.6
39.7  18.5
40.0  47.2
41.6  26.5
52.5  16.9

Cell and atoms:
Cell: 4.5064 9.8988 5.7302 Å, 90.00 90.00 90.00°
Sites, in units of the cell vectors:
Zn (0.0000, 0.0448, 0.0000)
Zn (0.0000, 0.2313, 0.6468)
Zn (0.0000, 0.7687, 0.1468)
Zn (0.0000, 0.9552, 0.5000)
Zn (0.5000, 0.2002, 0.8946)
Zn (0.5000, 0.7998, 0.3946)
In (0.0000, 0.3516, 0.1560)
In (0.0000, 0.6484, 0.6560)
In (0.5000, 0.1139, 0.3660)
In (0.5000, 0.4304, 0.5769)
In (0.5000, 0.5696, 0.0769)
In (0.5000, 0.8861, 0.8660)

=====

(12)
Simulated powder diffractogram of ZnIn for a wavelength of 1.5418 Å, from a structure optimized by DFT (GGA-PBE).

The 10 most intense peaks (2θ = 5–70°), sorted by position:
Position (°2θ)  intensity
31.9  8.1
32.4  28.9
33.0  12.6
33.6  54.5
36.7  100.0
41.7  40.3
47.4  19.5
62.1  20.2
65.2  8.4
65.6  9.9

Cell and atoms:
Cell: 6.7868 14.2338 5.3306 Å, 90.00 90.00 90.00°
Sites, in units of the cell vectors:
Zn (0.0851, 0.1498, 0.2500)
Zn (0.0851, 0.3502, 0.7500)
Zn (0.1471, 0.7013, 0.7500)
Zn (0.1471, 0.7987, 0.2500)
Zn (0.3184, 0.6331, 0.2500)
Zn (0.3184, 0.8669, 0.7500)
Zn (0.6816, 0.1331, 0.2500)
Zn (0.6816, 0.3669, 0.7500)
Zn (0.8529, 0.2013, 0.7500)
Zn (0.8529, 0.2987, 0.2500)
Zn (0.9149, 0.6498, 0.2500)
Zn (0.9149, 0.8502, 0.7500)
In (0.1087, 0.0441, 0.7500)
In (0.1087, 0.4559, 0.2500)
In (0.3679, 0.5125, 0.7500)
In (0.3679, 0.9875, 0.2500)
In (0.4026, 0.2048, 0.7500)
In (0.4026, 0.2952, 0.2500)
In (0.5974, 0.7048, 0.7500)
In (0.5974, 0.7952, 0.2500)
In (0.6321, 0.0125, 0.7500)
In (0.6321, 0.4875, 0.2500)
In (0.8913, 0.5441, 0.7500)
In (0.8913, 0.9559, 0.2500)